This entry pairs a crystal structure of CsHfTe3Au with its computed powder diffractogram. Radiation: Cu Kα (λ = 1.5418 Å). Structure: a PBE-relaxed structure.
No peak broadening, texture or thermal motion is included.

Main lines, in order of rising 2θ (2θ from 5° to 70°):
2θ 10.40, intensity 100, hkl 2 0 0
2θ 25.97, intensity 14, hkl 2 0 3
2θ 27.44, intensity 53, hkl 3 1 1
2θ 30.76, intensity 44, hkl 3 1 2
2θ 33.60, intensity 41, hkl 2 1 3
2θ 37.48, intensity 39, hkl 5 1 2
2θ 42.67, intensity 22, hkl 0 2 0
2θ 45.97, intensity 19, hkl 7 1 2

Atomic structure:
a b c (Å): 17.0154 4.2381 11.2473
angles (deg): 90.00 90.00 90.00
Space group Pnma (No. 62)
Symmetry-distinct sites (fractional):
Cs (0.2379, 0.2500, 0.0497) (multiplicity 4)
Hf (0.0135, 0.2500, 0.3191) (multiplicity 4)
Te (0.0800, 0.2500, 0.5662) (multiplicity 4)
Te (0.0965, 0.7500, 0.8680) (multiplicity 4)
Te (0.1281, 0.7500, 0.2701) (multiplicity 4)
Au (0.0121, 0.7500, 0.1002) (multiplicity 4)